Structure and simulated XRD peak list of NaAgHg2F6 (a structure optimized by DFT (PBE); copper Kα).
Intensities are scaled so that the largest is 100.

Top 6 peaks for 2θ = 10–90°, in order of rising 2θ:
2theta	I (rel.)
15.5	28
24.6	23
29.2	100
29.5	65
43.6	30
52.2	20

Atomic structure:
```
NaAgHg2F6
1.0
5.7022 -4.5132 0.0000
5.7022 4.5132 0.0000
0.0000 0.0000 6.0439
Na Ag Hg F
2 2 4 12
direct
0.0380 0.9620 0.7500
0.9620 0.0380 0.2500
0.3441 0.6559 0.2500
0.6559 0.3441 0.7500
0.1257 0.4447 0.7500
0.4447 0.1257 0.2500
0.5553 0.8743 0.7500
0.8743 0.5553 0.2500
0.0366 0.7073 0.5013
0.0366 0.7073 0.9987
0.2927 0.9634 0.5013
0.2927 0.9634 0.9987
0.3718 0.3718 0.0000
0.3718 0.3718 0.5000
0.6282 0.6282 0.0000
0.6282 0.6282 0.5000
0.7073 0.0366 0.0013
0.7073 0.0366 0.4987
0.9634 0.2927 0.0013
0.9634 0.2927 0.4987
```